No. 1
For Y4OsAu3, DFT lattice parameters and positions (PBE) gives the simulated powder diffraction line list in this record (a wavelength of 1.5418 Å).
Neutral-atom scattering factors, no anomalous dispersion.

Top 10 peaks for 15 to 90 degrees two-theta, in order of falling intensity:
index	2θ/deg	d [Å]	intensity
1 0 4	35.47	2.531	100
1 1 0	36.10	2.488	48
2 1 4	64.51	1.445	35
1 1 8	63.28	1.470	18
2 0 0	51.97	1.759	17
1 0 0	25.31	3.519	15
2 0 8	75.07	1.265	11
0 0 8	50.09	1.821	9
0 0 4	24.44	3.642	9
3 1 0	87.71	1.113	8

Cell and atoms:
```
data_Y4OsAu3
_cell_length_a 3.519
_cell_length_b 3.519
_cell_length_c 14.569
_cell_angle_alpha 90.00
_cell_angle_beta 90.00
_cell_angle_gamma 90.00
_space_group_name_H-M_alt 'P 4/m m m'
_space_group_IT_number 123
_space_group_name_Hall '-P 4 2'
loop_
_atom_site_label
_atom_site_type_symbol
_atom_site_fract_x
_atom_site_fract_y
_atom_site_fract_z
_atom_site_occupancy
Y1 Y 0.000 0.000 0.114 1
Y2 Y 0.000 0.000 0.372 1
Os1 Os 0.500 0.500 0.000 1
Au1 Au 0.500 0.500 0.248 1
Au2 Au 0.500 0.500 0.500 1
```

***

No. 2
For Li7Th3Ge4, DFT lattice parameters and positions (PBE) gives the simulated powder diffraction line list in this record (a wavelength of 1.5418 Å).
Neutral-atom scattering factors, no anomalous dispersion.

Top 10 peaks for 15 to 90 degrees two-theta, in order of falling intensity:
index	2θ/deg	d [Å]	intensity
1 -2 2	34.38	2.609	100
1 1 1	36.69	2.450	86
1 0 0	22.08	4.025	77
0 3 -1	33.25	2.694	58
1 0 -3	34.63	2.590	51
0 1 1	20.35	4.363	43
0 2 -1	21.97	4.046	38
1 -1 1	25.67	3.470	35
-2 1 1	39.74	2.268	33
1 1 -2	27.72	3.219	32

Cell and atoms:
```
data_Li7Th3Ge4
_cell_length_a 4.537
_cell_length_b 8.432
_cell_length_c 8.432
_cell_angle_alpha 108.67
_cell_angle_beta 105.59
_cell_angle_gamma 105.59
_space_group_name_H-M_alt 'P -1'
_space_group_IT_number 2
_space_group_name_Hall '-P 1'
loop_
_atom_site_label
_atom_site_type_symbol
_atom_site_fract_x
_atom_site_fract_y
_atom_site_fract_z
_atom_site_occupancy
Li1 Li 0.000 0.000 0.000 1
Li2 Li 0.153 0.493 0.813 1
Li3 Li 0.207 0.060 0.354 1
Li4 Li 0.319 0.814 0.825 1
Th1 Th 0.497 0.772 0.221 1
Th2 Th 0.500 0.500 0.500 1
Ge1 Ge 0.140 0.783 0.496 1
Ge2 Ge 0.203 0.335 0.070 1
```